This entry pairs a crystal structure of TbAl6Ag12 with its calculated X-ray powder pattern. Radiation: Cu Ka. Structure: a DFT-relaxed cell (PBE, Alexandria).

Structure:
Lattice parameters (Å, degrees): 11.8933 11.8933 8.8858 90.00 90.00 120.00
Space group R-3m (No. 166, hexagonal axes)
Asymmetric unit:
Tb  0.0000  0.0000  0.0000 x3
Al  0.0550  0.5275  0.2453 x18
Ag  0.0000  0.3830  0.5000 x18
Ag  0.0825  0.1650  0.2985 x18

Main lines, by angle (10 to 80 degrees two-theta):
| 2θ (°) | d [Å] | Rel. int. | (hkl) |
| --- | --- | --- | --- |
| 21.79 | 4.080 | 20 | 0 1 2 |
| 25.95 | 3.433 | 16 | 3 0 0 |
| 32.93 | 2.720 | 100 | 1 3 1 |
| 33.81 | 2.651 | 54 | 1 1 3 |
| 39.46 | 2.284 | 17 | 3 2 1 |
| 40.19 | 2.244 | 36 | 0 3 3 |
| 43.37 | 2.086 | 20 | 2 3 2 |
| 44.41 | 2.040 | 18 | 0 2 4 |
| 48.72 | 1.869 | 37 | 5 0 2 |
| 61.41 | 1.510 | 20 | 0 5 4 |

---

This entry pairs a crystal structure of Tb2AlAg3 with its calculated X-ray powder pattern. Radiation: Cu Ka. Structure: a DFT-relaxed cell (PBE, Alexandria).

Structure:
Lattice parameters (Å, degrees): 3.7543 4.3229 17.3131 90.00 90.00 90.00
Space group Imm2 (No. 44)
Asymmetric unit:
Tb  0.0000  0.0000  0.0000 x2
Tb  0.0000  0.5000  0.2437 x2
Al  0.0000  0.0000  0.5841 x2
Ag  0.0000  0.0000  0.4324 x2
Ag  0.0000  0.5000  0.6607 x2
Ag  0.0000  0.5000  0.8194 x2

Main lines, by angle (10 to 80 degrees two-theta):
| 2θ (°) | d [Å] | Rel. int. | (hkl) |
| --- | --- | --- | --- |
| 20.52 | 4.328 | 13 | 0 0 4 |
| 25.75 | 3.460 | 23 | 0 1 3 |
| 33.15 | 2.703 | 15 | 0 1 5 |
| 33.26 | 2.694 | 100 | 1 1 2 |
| 35.26 | 2.545 | 41 | 1 0 5 |
| 41.79 | 2.161 | 22 | 0 2 0 |
| 42.09 | 2.147 | 30 | 0 1 7 |
| 48.50 | 1.877 | 14 | 2 0 0 |
| 55.78 | 1.648 | 27 | 1 2 5 |
| 66.12 | 1.413 | 15 | 2 1 7 |

---

This entry pairs a crystal structure of Tb3Al6Ag20 with its calculated X-ray powder pattern. Radiation: Cu Ka. Structure: a DFT-relaxed cell (PBE, Alexandria).

Structure:
Lattice parameters (Å, degrees): 13.0862 13.0862 13.0862 90.00 90.00 90.00
Space group Fm-3m (No. 225)
Asymmetric unit:
Tb  0.0000  0.0000  0.0000 x4
Tb  0.2500  0.2500  0.2500 x8
Al  0.0000  0.0000  0.2633 x24
Ag  0.0000  0.1748  0.1748 x48
Ag  0.1164  0.1164  0.3836 x32

Main lines, by angle (10 to 80 degrees two-theta):
| 2θ (°) | d [Å] | Rel. int. | (hkl) |
| --- | --- | --- | --- |
| 30.55 | 2.926 | 22 | 4 2 0 |
| 33.55 | 2.671 | 34 | 4 2 2 |
| 35.65 | 2.518 | 100 | 3 3 3 |
| 38.93 | 2.313 | 33 | 4 4 0 |
| 40.79 | 2.212 | 24 | 5 3 1 |
| 41.40 | 2.181 | 9 | 6 0 0 |
| 46.00 | 1.973 | 11 | 6 2 2 |
| 59.98 | 1.542 | 30 | 6 6 0 |
| 61.35 | 1.511 | 15 | 5 5 5 |
| 70.51 | 1.336 | 19 | 8 4 4 |

---

This entry pairs a crystal structure of TbAlAg3 with its calculated X-ray powder pattern. Radiation: Cu Ka. Structure: a DFT-relaxed cell (PBE, Alexandria).

Structure:
Lattice parameters (Å, degrees): 6.3687 4.5799 7.2173 90.00 106.78 90.00
Space group P2_1/m (No. 11)
Asymmetric unit:
Tb  0.1874  0.2500  0.2004 x2
Al  0.1995  0.7500  0.5628 x2
Ag  0.1312  0.2500  0.7567 x2
Ag  0.3563  0.7500  0.9589 x2
Ag  0.4975  0.2500  0.6236 x2

Main lines, by angle (10 to 80 degrees two-theta):
| 2θ (°) | d [Å] | Rel. int. | (hkl) |
| --- | --- | --- | --- |
| 24.31 | 3.662 | 25 | 1 1 0 |
| 25.74 | 3.461 | 26 | 1 0 -2 |
| 32.44 | 2.760 | 77 | 0 1 2 |
| 34.60 | 2.592 | 98 | 2 1 -1 |
| 35.38 | 2.537 | 80 | 2 1 0 |
| 37.55 | 2.395 | 24 | 1 0 -3 |
| 38.81 | 2.320 | 100 | 1 1 2 |
| 39.35 | 2.290 | 75 | 0 2 0 |
| 42.59 | 2.123 | 30 | 1 1 -3 |
| 68.28 | 1.374 | 25 | 2 3 -1 |

---

This entry pairs a crystal structure of TbAlAg4 with its calculated X-ray powder pattern. Radiation: Cu Ka. Structure: a DFT-relaxed cell (PBE, Alexandria).

Structure:
Lattice parameters (Å, degrees): 4.9344 13.7807 7.3309 90.00 90.00 90.00
Space group Cmcm (No. 63)
Asymmetric unit:
Tb  0.0000  0.1187  0.2500 x4
Al  0.0000  0.3555  0.2500 x4
Ag  0.0000  0.0914  0.7500 x4
Ag  0.0000  0.2828  0.5675 x8
Ag  0.0000  0.5000  0.0000 x4

Main lines, by angle (10 to 80 degrees two-theta):
| 2θ (°) | d [Å] | Rel. int. | (hkl) |
| --- | --- | --- | --- |
| 31.08 | 2.878 | 100 | 1 1 2 |
| 35.77 | 2.510 | 66 | 0 4 2 |
| 36.42 | 2.467 | 58 | 2 0 0 |
| 37.37 | 2.406 | 78 | 1 5 0 |
| 39.41 | 2.286 | 17 | 1 5 1 |
| 41.77 | 2.163 | 30 | 1 1 3 |
| 51.97 | 1.760 | 44 | 2 4 2 |
| 62.23 | 1.492 | 13 | 3 1 2 |
| 66.16 | 1.412 | 17 | 3 5 0 |
| 69.17 | 1.358 | 24 | 1 9 2 |

---

This entry pairs a crystal structure of Tb2Al9Ag6 with its calculated X-ray powder pattern. Radiation: Cu Ka. Structure: a DFT-relaxed cell (PBE, Alexandria).

Structure:
Lattice parameters (Å, degrees): 5.4655 5.4655 13.2641 90.00 90.00 120.00
Space group P6/mmm (No. 191)
Asymmetric unit:
Tb  0.0000  0.0000  0.1641 x2
Al  0.0000  0.5000  0.0000 x3
Al  0.0000  0.5000  0.3349 x6
Ag  0.3333  0.6667  0.1664 x4
Ag  0.3333  0.6667  0.5000 x2

Main lines, by angle (10 to 80 degrees two-theta):
| 2θ (°) | d [Å] | Rel. int. | (hkl) |
| --- | --- | --- | --- |
| 19.92 | 4.458 | 12 | 1 0 1 |
| 20.08 | 4.421 | 42 | 0 0 3 |
| 32.77 | 2.733 | 56 | 1 1 0 |
| 38.73 | 2.325 | 100 | 1 1 3 |
| 40.82 | 2.211 | 19 | 0 0 6 |
| 53.30 | 1.719 | 27 | 1 1 6 |
| 58.50 | 1.578 | 10 | 3 0 0 |
| 62.50 | 1.486 | 23 | 3 0 3 |
| 68.69 | 1.366 | 11 | 2 2 0 |
| 72.93 | 1.297 | 14 | 1 1 9 |

---

Q: What is the formula in the third record?
A: Tb3Al6Ag20